For TbNd8Dy4, a crystal structure in Alexandria, relaxed with PBE gives the theoretical X-ray powder pattern in this record (Cu Kα (weighted mean of Kα1 and Kα2)).
Intensities are scaled so that the largest is 100.

Main lines, low angle first (2θ from 5° to 70°):
two_theta	I/Imax
26.04	7
27.91	24
28.30	15
30.80	100
32.22	33
34.22	9
37.81	32
49.78	28
50.26	13
58.03	17
59.69	13
63.97	7

Structural model:
a b c (Å): 10.482 10.482 10.482
angles (deg): 40.91 40.91 40.91
Positions (direct):
Tb (0.000, 0.000, 0.000)
Nd (0.252, 0.252, 0.704)
Nd (0.252, 0.704, 0.252)
Nd (0.287, 0.287, 0.287)
Nd (0.296, 0.748, 0.748)
Nd (0.704, 0.252, 0.252)
Nd (0.713, 0.713, 0.713)
Nd (0.748, 0.296, 0.748)
Nd (0.748, 0.748, 0.296)
Dy (0.000, 0.000, 0.500)
Dy (0.000, 0.500, 0.000)
Dy (0.500, 0.000, 0.000)
Dy (0.500, 0.500, 0.500)